# LiFe2Co2O8
Computed XRD peak list, Cu Ka. Input: the PBE+U geometry in the Materials Project.

Structural model:
```
LiFe2Co2O8
1.0
5.064 -2.864 0.000
5.064 2.864 0.000
-3.481 0.000 4.839
Li Fe Co O
1 2 2 8
Direct
0.000 0.000 0.000
0.500 0.500 0.000
0.500 0.500 0.500
0.000 0.500 0.000
0.500 0.000 0.000
0.245 0.713 0.216
0.254 0.254 0.215
0.254 0.254 0.797
0.287 0.755 0.784
0.713 0.245 0.216
0.746 0.746 0.203
0.746 0.746 0.785
0.755 0.287 0.784
```

The 10 most intense peaks (2θ from 10° to 80°), by angle:
- 18.4°, d 4.828, rel. 100
- 18.9°, d 4.700, rel. 60
- 35.6°, d 2.521, rel. 9
- 36.3°, d 2.472, rel. 10
- 36.5°, d 2.463, rel. 20
- 38.3°, d 2.350, rel. 9
- 43.8°, d 2.065, rel. 56
- 44.1°, d 2.055, rel. 28
- 63.8°, d 1.460, rel. 14
- 64.0°, d 1.454, rel. 15

---

# Li6FeCo9O20
Computed XRD peak list, Cu Ka. Input: the PBE+U geometry in the Materials Project.

Structural model:
```
Li6FeCo9O20
1.0
4.986 0.000 0.000
-2.377 7.290 0.000
-0.717 -1.354 9.696
Li Fe Co O
6 1 9 20
Direct
0.095 0.450 0.248
0.102 0.948 0.751
0.300 0.846 0.249
0.700 0.154 0.751
0.898 0.052 0.249
0.905 0.550 0.752
0.500 0.500 0.500
0.097 0.197 0.997
0.099 0.698 0.500
0.297 0.598 0.994
0.301 0.102 0.499
0.500 0.000 0.000
0.699 0.898 0.501
0.703 0.402 0.006
0.901 0.302 0.500
0.903 0.803 0.003
0.010 0.873 0.393
0.019 0.636 0.108
0.168 0.518 0.602
0.175 0.015 0.105
0.183 0.280 0.391
0.184 0.772 0.894
0.372 0.413 0.095
0.383 0.679 0.391
0.384 0.913 0.607
0.389 0.160 0.894
0.611 0.840 0.106
0.616 0.087 0.393
0.617 0.321 0.609
0.628 0.587 0.905
0.816 0.228 0.106
0.817 0.720 0.609
0.825 0.985 0.895
0.832 0.482 0.398
0.981 0.364 0.892
0.990 0.127 0.607
```

The 10 most intense peaks (2θ from 10° to 80°), by angle:
- 18.3°, d 4.848, rel. 100
- 35.9°, d 2.504, rel. 13
- 36.5°, d 2.463, rel. 11
- 36.7°, d 2.451, rel. 11
- 38.0°, d 2.367, rel. 7
- 43.2°, d 2.095, rel. 20
- 44.0°, d 2.058, rel. 19
- 44.3°, d 2.043, rel. 18
- 63.8°, d 1.458, rel. 5
- 64.1°, d 1.454, rel. 5

---

# Li4Fe3CoO8
Computed XRD peak list, Cu Ka. Input: the PBE+U geometry in the Materials Project.

Structural model:
```
Li4Fe3CoO8
1.0
5.172 -2.946 0.000
5.172 2.946 0.000
-1.690 0.000 4.810
Li Fe Co O
4 3 1 8
Direct
0.000 0.500 0.000
0.246 0.246 0.474
0.500 0.000 0.000
0.754 0.754 0.526
0.246 0.754 0.500
0.500 0.500 0.000
0.754 0.246 0.500
0.000 0.000 0.000
0.112 0.112 0.755
0.128 0.647 0.763
0.353 0.872 0.237
0.384 0.384 0.258
0.616 0.616 0.742
0.647 0.128 0.763
0.872 0.353 0.237
0.888 0.888 0.245
```

The 10 most intense peaks (2θ from 10° to 80°), by angle:
- 18.2°, d 4.880, rel. 100
- 35.7°, d 2.512, rel. 42
- 37.3°, d 2.408, rel. 14
- 43.2°, d 2.092, rel. 77
- 47.2°, d 1.925, rel. 9
- 57.0°, d 1.616, rel. 9
- 62.4°, d 1.488, rel. 14
- 62.6°, d 1.484, rel. 7
- 63.1°, d 1.472, rel. 21
- 66.3°, d 1.410, rel. 10

---

# Li2Fe2Co3O10
Computed XRD peak list, Cu Ka. Input: the PBE+U geometry in the Materials Project.

Structural model:
```
Li2Fe2Co3O10
1.0
5.206 0.000 0.000
0.000 2.913 0.000
-1.933 0.000 23.755
Li Fe Co O
4 4 6 20
Direct
0.000 0.000 0.000
0.001 0.500 0.498
0.597 0.000 0.797
0.598 0.500 0.301
0.096 0.500 0.797
0.311 0.000 0.900
0.687 0.000 0.102
0.896 0.000 0.694
0.102 0.000 0.300
0.295 0.500 0.397
0.492 0.000 0.497
0.500 0.500 0.001
0.690 0.500 0.595
0.905 0.500 0.202
0.012 0.000 0.160
0.178 0.000 0.449
0.195 0.500 0.953
0.204 0.500 0.256
0.218 0.000 0.751
0.378 0.000 0.044
0.391 0.500 0.544
0.410 0.000 0.346
0.422 0.500 0.848
0.580 0.000 0.637
0.597 0.500 0.448
0.608 0.500 0.155
0.620 0.000 0.958
0.774 0.500 0.745
0.799 0.000 0.251
0.805 0.000 0.547
0.805 0.500 0.050
0.977 0.000 0.843
0.986 0.500 0.643
0.996 0.500 0.345
```

The 10 most intense peaks (2θ from 10° to 80°), by angle:
- 18.1°, d 4.903, rel. 100
- 36.0°, d 2.492, rel. 10
- 36.2°, d 2.483, rel. 23
- 37.6°, d 2.391, rel. 6
- 43.2°, d 2.094, rel. 17
- 43.7°, d 2.073, rel. 34
- 47.3°, d 1.921, rel. 6
- 57.3°, d 1.609, rel. 9
- 62.3°, d 1.491, rel. 9
- 63.9°, d 1.456, rel. 14

---

# Li2FeCoO4
Computed XRD peak list, Cu Ka. Input: the PBE+U geometry in the Materials Project.

Structural model:
```
Li2FeCoO4
1.0
4.068 -4.077 0.000
4.068 4.077 0.000
-4.018 0.000 4.180
Li Fe Co O
4 2 2 8
Direct
0.000 0.000 0.000
0.000 0.000 0.500
0.000 0.500 0.000
0.500 0.000 0.500
0.000 0.500 0.500
0.500 0.000 0.000
0.500 0.500 0.000
0.500 0.500 0.500
0.248 0.726 0.497
0.268 0.282 0.532
0.274 0.752 0.003
0.282 0.268 0.032
0.718 0.732 0.968
0.726 0.248 0.997
0.732 0.718 0.468
0.752 0.274 0.503
```

The 10 most intense peaks (2θ from 10° to 80°), by angle:
- 18.6°, d 4.761, rel. 100
- 18.8°, d 4.724, rel. 78
- 36.5°, d 2.464, rel. 34
- 37.8°, d 2.381, rel. 18
- 38.1°, d 2.362, rel. 17
- 43.3°, d 2.090, rel. 46
- 44.4°, d 2.038, rel. 43
- 44.6°, d 2.034, rel. 42
- 63.8°, d 1.459, rel. 24
- 64.8°, d 1.440, rel. 23

---

# Li4FeCo9O20
Computed XRD peak list, Cu Ka. Input: the PBE+U geometry in the Materials Project.

Structural model:
```
Li4FeCo9O20
1.0
4.906 0.000 0.000
2.443 7.108 0.000
0.816 1.415 9.905
Li Fe Co O
4 1 9 20
Direct
0.000 0.000 0.000
0.199 0.562 0.004
0.492 0.499 0.503
0.712 0.063 0.506
0.643 0.923 0.250
0.046 0.131 0.254
0.146 0.429 0.751
0.245 0.727 0.254
0.348 0.029 0.752
0.447 0.330 0.251
0.548 0.631 0.754
0.746 0.230 0.755
0.847 0.527 0.253
0.948 0.829 0.751
0.012 0.051 0.655
0.071 0.210 0.850
0.121 0.350 0.155
0.180 0.507 0.350
0.224 0.645 0.655
0.265 0.811 0.854
0.293 0.950 0.149
0.369 0.119 0.352
0.428 0.250 0.652
0.466 0.413 0.850
0.512 0.549 0.155
0.564 0.697 0.355
0.625 0.852 0.655
0.682 0.008 0.851
0.733 0.157 0.151
0.766 0.309 0.354
0.815 0.448 0.656
0.885 0.609 0.850
0.940 0.741 0.147
0.984 0.915 0.355
```

The 10 most intense peaks (2θ from 10° to 80°), by angle:
- 17.9°, d 4.952, rel. 100
- 37.0°, d 2.427, rel. 19
- 37.2°, d 2.420, rel. 10
- 38.6°, d 2.335, rel. 6
- 44.2°, d 2.051, rel. 30
- 44.3°, d 2.047, rel. 15
- 48.0°, d 1.895, rel. 5
- 57.4°, d 1.606, rel. 14
- 62.7°, d 1.481, rel. 8
- 68.9°, d 1.363, rel. 6

---

# Li3FeCo4O8
Computed XRD peak list, Cu Ka. Input: the PBE+U geometry in the Materials Project.

Structural model:
```
Li3FeCo4O8
1.0
5.853 0.000 0.000
0.000 5.895 0.000
-2.920 -2.943 4.272
Li Fe Co O
3 1 4 8
Direct
0.000 0.000 0.000
0.000 0.500 0.500
0.500 0.000 0.000
0.500 0.000 0.500
0.000 0.000 0.500
0.000 0.500 0.000
0.500 0.500 0.000
0.500 0.500 0.500
0.247 0.237 0.486
0.253 0.754 0.497
0.266 0.267 0.002
0.274 0.739 0.022
0.726 0.261 0.978
0.734 0.733 0.998
0.747 0.246 0.503
0.753 0.763 0.514
```

The 10 most intense peaks (2θ from 10° to 80°), by angle:
- 18.3°, d 4.849, rel. 100
- 35.0°, d 2.565, rel. 20
- 35.8°, d 2.506, rel. 25
- 37.1°, d 2.426, rel. 30
- 37.2°, d 2.414, rel. 30
- 42.3°, d 2.136, rel. 55
- 43.6°, d 2.077, rel. 99
- 62.3°, d 1.490, rel. 43
- 62.4°, d 1.488, rel. 14
- 63.1°, d 1.474, rel. 14

---

# Li5Fe5Co2O12
Computed XRD peak list, Cu Ka. Input: the PBE+U geometry in the Materials Project.

Structural model:
```
Li5Fe5Co2O12
1.0
2.603 -4.474 0.000
2.603 4.474 0.000
-1.723 0.000 9.720
Li Fe Co O
5 5 2 12
Direct
0.000 0.000 0.000
0.248 0.256 0.758
0.404 0.076 0.241
0.744 0.752 0.242
0.924 0.596 0.759
0.078 0.407 0.236
0.164 0.836 0.500
0.501 0.499 0.500
0.593 0.922 0.764
0.656 0.344 0.000
0.329 0.671 0.000
0.832 0.168 0.500
0.026 0.685 0.125
0.134 0.137 0.381
0.233 0.568 0.622
0.315 0.974 0.875
0.368 0.379 0.124
0.432 0.767 0.378
0.527 0.197 0.616
0.621 0.632 0.876
0.709 0.067 0.127
0.803 0.473 0.384
0.863 0.866 0.619
0.933 0.291 0.873
```

The 10 most intense peaks (2θ from 10° to 80°), by angle:
- 18.3°, d 4.860, rel. 38
- 19.8°, d 4.474, rel. 20
- 20.7°, d 4.299, rel. 17
- 23.2°, d 3.831, rel. 33
- 36.7°, d 2.450, rel. 14
- 36.8°, d 2.439, rel. 24
- 42.7°, d 2.120, rel. 50
- 42.9°, d 2.110, rel. 100
- 61.9°, d 1.500, rel. 28
- 62.3°, d 1.491, rel. 54

---

Q: Which formula does entry 4 have?
A: Li2Fe2Co3O10